Structure and theoretical powder diffractogram of Sr8GeAu2 (a crystal structure in Alexandria, relaxed with GGA-PBE; Cu Kα X-rays).
Intensities are scaled so that the largest is 100.

Top 10 peaks for 2θ from 15° to 90°, most intense first:
2θ/deg, d (Å), Rel. int., h k l
26.9, 3.315, 100, 1 3 1
34.7, 2.588, 47, 1 5 -1
28.8, 3.095, 44, 3 1 -1
29.8, 2.994, 43, 0 2 2
30.5, 2.928, 35, 2 2 -2
35.2, 2.547, 34, 3 3 0
34.1, 2.631, 33, 3 3 -1
28.6, 3.116, 27, 0 4 1
23.3, 3.821, 26, 2 2 0
46.5, 1.952, 23, 3 3 -3

Crystal structure
a b c (Å): 9.608 14.134 6.991
angles (deg): 90.00 109.02 90.00
Space group Cm (No. 8)
Inequivalent atoms, fractional coordinates:
Sr: 0.000 0.000 0.000 [2 per cell]
Sr: 0.066 0.366 0.819 [4 per cell]
Sr: 0.151 0.131 0.610 [4 per cell]
Sr: 0.213 0.500 0.386 [2 per cell]
Sr: 0.363 0.205 0.209 [4 per cell]
Ge: 0.354 0.000 0.990 [2 per cell]
Au: 0.350 0.315 0.681 [4 per cell]

Structure and theoretical powder diffractogram of MgPt5Au2 (a crystal structure in Alexandria, relaxed with GGA-PBE; Cu Kα X-rays).
Intensities are scaled so that the largest is 100.

Top 10 peaks for 2θ from 15° to 90°, most intense first:
2θ/deg, d (Å), Rel. int., h k l
38.9, 2.318, 100, 1 1 4
45.1, 2.011, 33, 2 0 0
79.0, 1.212, 26, 3 1 4
65.9, 1.418, 21, 2 0 8
45.3, 2.001, 16, 0 0 8
79.3, 1.208, 12, 1 1 12
83.4, 1.159, 11, 2 2 8
65.7, 1.422, 11, 2 2 0
22.8, 3.900, 6, 1 0 1
33.4, 2.679, 5, 1 1 2

Crystal structure
a b c (Å): 4.021 4.021 16.007
angles (deg): 90.00 90.00 90.00
Space group I4/mmm (No. 139)
Inequivalent atoms, fractional coordinates:
Mg: 0.000 0.000 0.000 [2 per cell]
Pt: 0.000 0.000 0.500 [2 per cell]
Pt: 0.000 0.500 0.119 [8 per cell]
Au: 0.000 0.000 0.252 [4 per cell]